Diffraction record for Dy2Pt. The powder XRD pattern is calculated, not measured: it uses the PBE geometry in the Materials Project and Cu Kα X-rays.
No peak broadening, texture or thermal motion is included.

The 6 most intense peaks (2θ = 10–80°), by angle:
- 30.29°, I 78.3
- 31.18°, I 32.6
- 32.83°, I 100.0
- 35.91°, I 71.1
- 37.66°, I 65.3
- 69.15°, I 40.6

```
data_Dy2Pt
_chemical_formula_sum 'Dy8 Pt4'
_space_group_name_H-M_alt 'P n m a'
_space_group_IT_number 62
_space_group_name_Hall '-P 2ac 2n'
_cell_length_a 7.176
_cell_length_b 4.777
_cell_length_c 8.805
_cell_angle_alpha 90.00
_cell_angle_beta 90.00
_cell_angle_gamma 90.00
loop_
_atom_site_label
_atom_site_fract_x
_atom_site_fract_y
_atom_site_fract_z
Dy1 0.012 0.250 0.169
Dy2 0.145 0.250 0.580
Pt1 0.241 0.250 0.906
```